(1)
Starting from DFT lattice parameters and positions (PBE), the powder diffractogram of LaCeIn was simulated for λ = 1.5418 Å (Cu Kα).

Top 10 peaks for 2θ = 10–90°, by angle:
2θ 29.9, rel. 25.0
2θ 30.3, rel. 11.2
2θ 30.9, rel. 38.0
2θ 32.0, rel. 27.6
2θ 33.3, rel. 100.0
2θ 36.8, rel. 20.2
2θ 53.5, rel. 16.2
2θ 56.6, rel. 18.9
2θ 61.5, rel. 10.5
2θ 62.1, rel. 11.6

Structural model:
```
LaCeIn
1.0
3.537 0.000 0.000
0.000 17.345 0.000
0.000 0.000 5.906
La Ce In
4 4 4
Direct
0.000 0.079 0.000
0.000 0.921 0.500
0.500 0.421 0.500
0.500 0.579 0.000
0.000 0.238 0.327
0.000 0.762 0.827
0.500 0.262 0.827
0.500 0.738 0.327
0.000 0.408 0.014
0.000 0.592 0.514
0.500 0.092 0.514
0.500 0.908 0.014
```

=====

(2)
Starting from DFT lattice parameters and positions (PBE), the powder diffractogram of La2CeIn4 was simulated for λ = 1.5418 Å (Cu Kα).

Top 10 peaks for 2θ = 10–90°, by angle:
2θ 17.2, rel. 11.7
2θ 24.2, rel. 9.7
2θ 25.9, rel. 13.0
2θ 32.5, rel. 58.1
2θ 33.4, rel. 100.0
2θ 46.7, rel. 21.0
2θ 58.6, rel. 38.7
2θ 60.2, rel. 13.8
2θ 70.1, rel. 8.7
2θ 77.6, rel. 9.1

Structural model:
```
La2CeIn4
1.0
5.503 0.000 0.000
0.000 5.503 0.000
0.000 0.000 14.829
La Ce In
4 2 8
Direct
0.000 0.000 0.243
0.000 0.000 0.757
0.500 0.500 0.257
0.500 0.500 0.743
0.000 0.000 0.500
0.500 0.500 0.000
0.000 0.500 0.110
0.000 0.500 0.390
0.000 0.500 0.610
0.000 0.500 0.890
0.500 0.000 0.110
0.500 0.000 0.390
0.500 0.000 0.610
0.500 0.000 0.890
```

=====

(3)
Starting from DFT lattice parameters and positions (PBE), the powder diffractogram of La7CeIn4 was simulated for λ = 1.5418 Å (Cu Kα).

Top 10 peaks for 2θ = 10–90°, by angle:
2θ 27.2, rel. 61.3
2θ 28.6, rel. 53.1
2θ 29.0, rel. 42.1
2θ 29.2, rel. 25.4
2θ 30.0, rel. 22.0
2θ 30.2, rel. 100.0
2θ 32.1, rel. 44.8
2θ 34.9, rel. 23.2
2θ 35.3, rel. 68.2
2θ 41.1, rel. 40.3

Structural model:
```
La7CeIn4
1.0
7.464 -2.955 0.000
7.464 2.955 0.000
-6.203 0.000 9.176
La Ce In
7 1 4
Direct
0.000 0.000 0.000
0.217 0.217 0.656
0.298 0.298 0.116
0.439 0.439 0.615
0.561 0.561 0.385
0.702 0.702 0.884
0.783 0.783 0.344
0.500 0.500 0.000
0.057 0.057 0.755
0.182 0.182 0.334
0.818 0.818 0.666
0.943 0.943 0.245
```

=====

(4)
Starting from DFT lattice parameters and positions (PBE), the powder diffractogram of LaCe3In4 was simulated for λ = 1.5418 Å (Cu Kα).

Top 10 peaks for 2θ = 10–90°, by angle:
2θ 32.2, rel. 100.0
2θ 36.9, rel. 34.4
2θ 38.2, rel. 15.7
2θ 53.1, rel. 11.8
2θ 54.1, rel. 22.3
2θ 63.5, rel. 27.1
2θ 65.3, rel. 12.6
2θ 67.3, rel. 11.4
2θ 87.3, rel. 5.6
2θ 89.0, rel. 11.1

Structural model:
```
LaCe3In4
1.0
4.712 0.000 0.000
0.000 4.872 0.000
0.000 0.000 9.761
La Ce In
1 3 4
Direct
0.000 0.000 0.000
0.000 0.000 0.500
0.000 0.500 0.258
0.000 0.500 0.742
0.500 0.000 0.254
0.500 0.000 0.746
0.500 0.500 0.000
0.500 0.500 0.500
```